# 1
Pa6OsRh5: simulated powder X-ray diffraction pattern (Cu Kα, 1.54184 Å), based on a structure optimized by DFT (PBE).
Neutral-atom scattering factors, no anomalous dispersion.

```
Pa6OsRh5
1.0
-2.1931 4.1152 6.5760
2.1931 -4.1152 6.5760
2.1931 4.1152 -6.5760
Pa Os Rh
6 1 5
direct
0.0857 0.3364 0.7493
0.2438 0.0000 0.2438
0.4129 0.6636 0.7493
0.5871 0.3364 0.2507
0.7562 0.0000 0.7562
0.9143 0.6636 0.2507
0.0000 0.5000 0.5000
0.1699 0.1699 0.0000
0.3323 0.8323 0.5000
0.5000 0.5000 0.0000
0.6677 0.1677 0.5000
0.8301 0.8301 0.0000
```

Main lines, low angle first (2θ = 5–70°):
| Position (°2θ) | d/Å | intensity |
| --- | --- | --- |
| 28.79 | 3.101 | 8 |
| 36.28 | 2.476 | 100 |
| 41.17 | 2.193 | 36 |
| 44.01 | 2.058 | 15 |
| 59.64 | 1.550 | 12 |
| 61.84 | 1.500 | 21 |

---

# 2
K2ReCl5O: simulated powder X-ray diffraction pattern (Cu Kα, 1.54184 Å), based on a structure optimized by DFT (PBE).
Neutral-atom scattering factors, no anomalous dispersion.

```
K2ReCl5O
1.0
13.5664 0.0000 0.0000
0.0000 10.1822 0.0000
0.0000 0.0000 6.9737
K Re Cl O
8 4 20 4
direct
0.1408 0.0017 0.1777
0.1408 0.4983 0.1777
0.3592 0.5017 0.6777
0.3592 0.9983 0.6777
0.6408 0.0017 0.3223
0.6408 0.4983 0.3223
0.8592 0.5017 0.8223
0.8592 0.9983 0.8223
0.0974 0.7500 0.6761
0.4026 0.2500 0.1761
0.5974 0.7500 0.8239
0.9026 0.2500 0.3239
0.0042 0.7500 0.9687
0.1108 0.5157 0.6968
0.1108 0.9843 0.6968
0.2207 0.7500 0.4302
0.2450 0.7500 0.8988
0.2550 0.2500 0.3988
0.2793 0.2500 0.9302
0.3892 0.0157 0.1968
0.3892 0.4843 0.1968
0.4958 0.2500 0.4687
0.5042 0.7500 0.5313
0.6108 0.5157 0.8032
0.6108 0.9843 0.8032
0.7207 0.7500 0.0698
0.7450 0.7500 0.6012
0.7550 0.2500 0.1012
0.7793 0.2500 0.5698
0.8892 0.0157 0.3032
0.8892 0.4843 0.3032
0.9958 0.2500 0.0313
0.0007 0.2500 0.4744
0.4993 0.7500 0.9744
0.5007 0.2500 0.0256
0.9993 0.7500 0.5256
```

Main lines, low angle first (2θ = 5–70°):
| Position (°2θ) | d/Å | intensity |
| --- | --- | --- |
| 15.40 | 5.754 | 96 |
| 15.70 | 5.645 | 100 |
| 18.25 | 4.862 | 39 |
| 25.33 | 3.516 | 40 |
| 29.29 | 3.049 | 37 |
| 35.26 | 2.546 | 37 |